No. 1
Calculated powder XRD pattern of BaCd3 for a wavelength of 1.5418 Å, from a DFT-relaxed cell (PBE, Alexandria).
Neutral-atom scattering factors, no anomalous dispersion.

Most intense lines, 10° ≤ 2θ ≤ 80°, by intensity:
| Position (°2θ) | I (rel.) |
| --- | --- |
| 33.3 | 100.0 |
| 31.3 | 44.8 |
| 35.9 | 38.4 |
| 28.0 | 33.9 |
| 28.5 | 26.7 |
| 25.2 | 19.2 |
| 46.1 | 16.9 |
| 62.9 | 15.1 |
| 12.7 | 13.6 |
| 46.5 | 13.6 |
| 33.7 | 13.6 |
| 43.9 | 13.5 |

Structure:
Unit cell a=5.0000 b=7.1706 c=6.9736 alpha=90.00 beta=90.00 gamma=90.00
Positions (direct):
Ba 0.2500 0.2500 0.1066
Ba 0.7500 0.7500 0.8934
Cd 0.2500 0.0214 0.6279
Cd 0.2500 0.4786 0.6279
Cd 0.2500 0.7500 0.2863
Cd 0.7500 0.2500 0.7137
Cd 0.7500 0.5214 0.3721
Cd 0.7500 0.9786 0.3721

No. 2
Calculated powder XRD pattern of Ba3Cd8 for a wavelength of 1.5418 Å, from a DFT-relaxed cell (PBE, Alexandria).
Neutral-atom scattering factors, no anomalous dispersion.

Most intense lines, 10° ≤ 2θ ≤ 80°, by intensity:
| Position (°2θ) | I (rel.) |
| --- | --- |
| 28.8 | 100.0 |
| 28.1 | 49.2 |
| 35.7 | 37.9 |
| 36.8 | 35.3 |
| 31.7 | 32.4 |
| 54.9 | 30.9 |
| 39.2 | 29.2 |
| 46.0 | 25.1 |
| 54.0 | 22.2 |
| 26.9 | 16.6 |
| 39.6 | 16.5 |
| 43.0 | 14.0 |

Structure:
Unit cell a=15.7376 b=15.7376 c=15.7376 alpha=163.19 beta=161.61 gamma=25.01
Positions (direct):
Ba 0.0000 0.0000 0.0000
Ba 0.3510 0.8510 0.5000
Ba 0.6490 0.1490 0.5000
Cd 0.0974 0.5974 0.5000
Cd 0.1930 0.6930 0.5000
Cd 0.2525 0.2525 0.0000
Cd 0.4511 0.4511 0.0000
Cd 0.5489 0.5489 0.0000
Cd 0.7475 0.7475 0.0000
Cd 0.8070 0.3070 0.5000
Cd 0.9026 0.4026 0.5000

No. 3
Calculated powder XRD pattern of Ba3Cd5 for a wavelength of 1.5418 Å, from a DFT-relaxed cell (PBE, Alexandria).
Neutral-atom scattering factors, no anomalous dispersion.

Most intense lines, 10° ≤ 2θ ≤ 80°, by intensity:
| Position (°2θ) | I (rel.) |
| --- | --- |
| 30.2 | 100.0 |
| 31.5 | 23.3 |
| 31.1 | 21.6 |
| 55.3 | 17.5 |
| 44.8 | 15.4 |
| 54.8 | 14.4 |
| 62.8 | 10.4 |
| 41.6 | 10.2 |
| 53.1 | 9.8 |
| 52.8 | 8.9 |
| 68.9 | 8.1 |
| 73.6 | 5.9 |

Structure:
Unit cell a=8.6812 b=11.5073 c=5.6841 alpha=90.00 beta=90.00 gamma=90.00
Positions (direct):
Ba 0.0000 0.0000 0.0000
Ba 0.0000 0.2754 0.5000
Ba 0.0000 0.7246 0.5000
Ba 0.5000 0.2246 0.5000
Ba 0.5000 0.5000 0.0000
Ba 0.5000 0.7754 0.5000
Cd 0.0000 0.5000 0.0000
Cd 0.2325 0.0000 0.5000
Cd 0.2500 0.2500 0.0000
Cd 0.2500 0.7500 0.0000
Cd 0.2675 0.5000 0.5000
Cd 0.5000 0.0000 0.0000
Cd 0.7325 0.5000 0.5000
Cd 0.7500 0.2500 0.0000
Cd 0.7500 0.7500 0.0000
Cd 0.7675 0.0000 0.5000

No. 4
Calculated powder XRD pattern of Ba4Cd for a wavelength of 1.5418 Å, from a DFT-relaxed cell (PBE, Alexandria).
Neutral-atom scattering factors, no anomalous dispersion.

Most intense lines, 10° ≤ 2θ ≤ 80°, by intensity:
| Position (°2θ) | I (rel.) |
| --- | --- |
| 30.4 | 100.0 |
| 21.4 | 49.5 |
| 54.0 | 38.7 |
| 49.0 | 21.5 |
| 43.5 | 18.4 |
| 15.1 | 17.4 |
| 71.8 | 16.6 |
| 37.5 | 15.5 |
| 63.3 | 12.0 |
| 67.6 | 10.5 |
| 26.3 | 9.4 |
| 75.9 | 6.1 |

Structure:
Unit cell a=8.3151 b=8.3151 c=8.3151 alpha=90.00 beta=90.00 gamma=90.00
Positions (direct):
Ba 0.2500 0.2500 0.2500
Ba 0.2500 0.2500 0.7500
Ba 0.2500 0.7500 0.2500
Ba 0.2500 0.7500 0.7500
Ba 0.7500 0.2500 0.2500
Ba 0.7500 0.2500 0.7500
Ba 0.7500 0.7500 0.2500
Ba 0.7500 0.7500 0.7500
Cd 0.0000 0.0000 0.0000
Cd 0.5000 0.5000 0.5000

No. 5
Calculated powder XRD pattern of Ba5Cd3 for a wavelength of 1.5418 Å, from a DFT-relaxed cell (PBE, Alexandria).
Neutral-atom scattering factors, no anomalous dispersion.

Most intense lines, 10° ≤ 2θ ≤ 80°, by intensity:
| Position (°2θ) | I (rel.) |
| --- | --- |
| 27.7 | 100.0 |
| 29.5 | 58.9 |
| 51.2 | 35.4 |
| 42.2 | 21.9 |
| 34.5 | 18.5 |
| 55.9 | 13.4 |
| 69.3 | 9.8 |
| 55.6 | 9.1 |
| 70.8 | 8.7 |
| 64.4 | 8.7 |
| 47.7 | 8.0 |
| 68.4 | 7.4 |

Structure:
Unit cell a=4.2862 b=4.2862 c=19.5896 alpha=90.00 beta=90.00 gamma=90.00
Positions (direct):
Ba 0.0000 0.0000 0.0000
Ba 0.0000 0.0000 0.2132
Ba 0.0000 0.0000 0.7868
Ba 0.5000 0.5000 0.3957
Ba 0.5000 0.5000 0.6043
Cd 0.0000 0.0000 0.5000
Cd 0.5000 0.5000 0.1120
Cd 0.5000 0.5000 0.8880

No. 6
Calculated powder XRD pattern of BaCeCd for a wavelength of 1.5418 Å, from a DFT-relaxed cell (PBE, Alexandria).
Neutral-atom scattering factors, no anomalous dispersion.

Most intense lines, 10° ≤ 2θ ≤ 80°, by intensity:
| Position (°2θ) | I (rel.) |
| --- | --- |
| 33.9 | 100.0 |
| 30.2 | 63.0 |
| 21.2 | 47.1 |
| 36.4 | 29.1 |
| 30.0 | 24.5 |
| 43.4 | 21.9 |
| 44.5 | 19.3 |
| 26.1 | 16.8 |
| 64.0 | 15.4 |
| 57.9 | 14.9 |
| 47.9 | 13.1 |
| 22.6 | 11.7 |

Structure:
Unit cell a=4.9300 b=23.8272 c=4.1697 alpha=90.00 beta=90.00 gamma=90.00
Positions (direct):
Ba 0.0000 0.1792 0.2500
Ba 0.0000 0.8208 0.7500
Ba 0.5000 0.3208 0.7500
Ba 0.5000 0.6792 0.2500
Ce 0.0000 0.4620 0.7500
Ce 0.0000 0.5380 0.2500
Ce 0.5000 0.0380 0.2500
Ce 0.5000 0.9620 0.7500
Cd 0.0000 0.0546 0.7500
Cd 0.0000 0.9454 0.2500
Cd 0.5000 0.4454 0.2500
Cd 0.5000 0.5546 0.7500

No. 7
Calculated powder XRD pattern of BaCe2Cd2O7 for a wavelength of 1.5418 Å, from a DFT-relaxed cell (PBE, Alexandria).
Neutral-atom scattering factors, no anomalous dispersion.

Most intense lines, 10° ≤ 2θ ≤ 80°, by intensity:
| Position (°2θ) | I (rel.) |
| --- | --- |
| 29.6 | 100.0 |
| 29.4 | 98.5 |
| 24.4 | 78.2 |
| 39.1 | 55.1 |
| 51.8 | 40.9 |
| 41.6 | 40.3 |
| 53.9 | 30.1 |
| 58.4 | 27.1 |
| 46.6 | 26.6 |
| 35.5 | 24.9 |
| 33.4 | 24.6 |
| 45.5 | 19.9 |

Structure:
Unit cell a=10.5882 b=10.5882 c=10.5882 alpha=156.34 beta=34.79 gamma=154.86
Positions (direct):
Ba 0.0000 0.0000 0.0000
Ce 0.3628 0.9715 0.3913
Ce 0.5802 0.9715 0.6087
Cd 0.1956 0.4689 0.7267
Cd 0.7422 0.4689 0.2733
O 0.0800 0.4689 0.6111
O 0.2395 0.9685 0.2710
O 0.3770 0.4728 0.9042
O 0.4211 0.9211 0.5000
O 0.5686 0.4728 0.0958
O 0.6976 0.9685 0.7290
O 0.8578 0.4689 0.3889

No. 8
Calculated powder XRD pattern of BaCe2CdP4 for a wavelength of 1.5418 Å, from a DFT-relaxed cell (PBE, Alexandria).
Neutral-atom scattering factors, no anomalous dispersion.

Most intense lines, 10° ≤ 2θ ≤ 80°, by intensity:
| Position (°2θ) | I (rel.) |
| --- | --- |
| 25.3 | 100.0 |
| 31.1 | 78.2 |
| 43.1 | 48.1 |
| 22.8 | 32.5 |
| 29.1 | 31.9 |
| 42.6 | 21.3 |
| 38.3 | 21.1 |
| 51.9 | 18.9 |
| 57.0 | 18.6 |
| 34.3 | 18.3 |
| 40.5 | 16.2 |
| 50.2 | 15.5 |

Structure:
Unit cell a=7.3572 b=7.3572 c=14.0845 alpha=90.00 beta=90.00 gamma=146.49
Positions (direct):
Ba 0.1164 0.8836 0.7500
Ba 0.8836 0.1164 0.2500
Ce 0.3702 0.6298 0.5571
Ce 0.3702 0.6298 0.9429
Ce 0.6298 0.3702 0.0571
Ce 0.6298 0.3702 0.4429
Cd 0.1522 0.8478 0.2500
Cd 0.8478 0.1522 0.7500
P 0.0000 0.0000 0.0000
P 0.0000 0.0000 0.5000
P 0.2585 0.7415 0.1042
P 0.2585 0.7415 0.3958
P 0.4480 0.5520 0.7500
P 0.5520 0.4480 0.2500
P 0.7415 0.2585 0.6042
P 0.7415 0.2585 0.8958

No. 9
Calculated powder XRD pattern of BaCdCl for a wavelength of 1.5418 Å, from a DFT-relaxed cell (PBE, Alexandria).
Neutral-atom scattering factors, no anomalous dispersion.

Most intense lines, 10° ≤ 2θ ≤ 80°, by intensity:
| Position (°2θ) | I (rel.) |
| --- | --- |
| 26.6 | 100.0 |
| 33.9 | 45.1 |
| 50.6 | 27.8 |
| 43.6 | 25.7 |
| 56.4 | 23.6 |
| 19.4 | 16.9 |
| 36.4 | 12.4 |
| 59.7 | 9.9 |
| 72.9 | 9.2 |
| 77.7 | 9.2 |
| 60.7 | 7.9 |
| 70.5 | 6.0 |

Structure:
Unit cell a=5.2844 b=5.2844 c=4.9395 alpha=90.00 beta=90.00 gamma=120.00
Positions (direct):
Ba 0.0000 0.0000 0.0000
Cd 0.6667 0.3333 0.4991
Cl 0.3333 0.6667 0.9988

No. 10
Calculated powder XRD pattern of BaCd2Cl6 for a wavelength of 1.5418 Å, from a DFT-relaxed cell (PBE, Alexandria).
Neutral-atom scattering factors, no anomalous dispersion.

Most intense lines, 10° ≤ 2θ ≤ 80°, by intensity:
| Position (°2θ) | I (rel.) |
| --- | --- |
| 19.9 | 100.0 |
| 37.4 | 67.7 |
| 42.4 | 28.4 |
| 25.9 | 27.0 |
| 45.7 | 25.7 |
| 32.9 | 25.6 |
| 29.2 | 24.5 |
| 60.5 | 14.3 |
| 79.0 | 12.9 |
| 57.5 | 12.4 |
| 13.1 | 12.2 |
| 43.0 | 11.8 |

Structure:
Unit cell a=6.8721 b=6.8721 c=6.7382 alpha=90.00 beta=90.00 gamma=120.00
Positions (direct):
Ba 0.0000 0.0000 0.0000
Cd 0.3333 0.6667 0.5000
Cd 0.6667 0.3333 0.5000
Cl 0.0000 0.3669 0.7260
Cl 0.0000 0.6331 0.2740
Cl 0.3669 0.0000 0.7260
Cl 0.3669 0.3669 0.2740
Cl 0.6331 0.0000 0.2740
Cl 0.6331 0.6331 0.7260

No. 11
Calculated powder XRD pattern of Ba2CdCl for a wavelength of 1.5418 Å, from a DFT-relaxed cell (PBE, Alexandria).
Neutral-atom scattering factors, no anomalous dispersion.

Most intense lines, 10° ≤ 2θ ≤ 80°, by intensity:
| Position (°2θ) | I (rel.) |
| --- | --- |
| 25.9 | 100.0 |
| 29.2 | 96.6 |
| 33.5 | 92.0 |
| 54.6 | 43.6 |
| 41.8 | 35.7 |
| 49.8 | 33.4 |
| 10.4 | 26.3 |
| 52.4 | 21.3 |
| 20.9 | 20.2 |
| 36.2 | 19.6 |
| 68.7 | 15.9 |
| 61.1 | 13.4 |

Structure:
Unit cell a=4.3219 b=4.3219 c=17.0295 alpha=90.00 beta=90.00 gamma=90.00
Positions (direct):
Ba 0.0000 0.0000 0.0000
Ba 0.0000 0.0000 0.2437
Ba 0.5000 0.5000 0.5000
Ba 0.5000 0.5000 0.7437
Cd 0.0000 0.0000 0.6395
Cd 0.5000 0.5000 0.1395
Cl 0.0000 0.0000 0.4300
Cl 0.5000 0.5000 0.9300

No. 12
Calculated powder XRD pattern of BaCdCuCl6 for a wavelength of 1.5418 Å, from a DFT-relaxed cell (PBE, Alexandria).
Neutral-atom scattering factors, no anomalous dispersion.

Most intense lines, 10° ≤ 2θ ≤ 80°, by intensity:
| Position (°2θ) | I (rel.) |
| --- | --- |
| 18.9 | 100.0 |
| 21.1 | 91.5 |
| 20.9 | 79.4 |
| 39.9 | 59.1 |
| 34.4 | 46.1 |
| 45.7 | 44.3 |
| 37.7 | 41.6 |
| 27.7 | 37.0 |
| 31.6 | 32.4 |
| 25.0 | 25.4 |
| 34.2 | 24.8 |
| 39.5 | 24.8 |

Structure:
Unit cell a=6.4892 b=6.4892 c=6.7644 alpha=93.87 beta=93.87 gamma=112.75
Positions (direct):
Ba 0.0000 0.0000 0.0000
Cd 0.3356 0.6644 0.5000
Cu 0.6888 0.3112 0.5000
Cl 0.0125 0.3406 0.6837
Cl 0.0197 0.6082 0.2316
Cl 0.3918 0.9803 0.7684
Cl 0.4134 0.3418 0.2838
Cl 0.6582 0.5866 0.7162
Cl 0.6594 0.9875 0.3163